Entry 1:
Diffraction record for Ca3CoRhO6. The powder diffractogram is simulated, not measured: it uses DFT lattice parameters and positions (PBE+U) and Cu Kα (weighted mean of Kα1 and Kα2).
Lines closer than 0.1° are merged.

Atomic structure:
```
data_Ca3CoRhO6
_cell_length_a 6.491
_cell_length_b 9.034
_cell_length_c 9.244
_cell_angle_alpha 90.00
_cell_angle_beta 89.96
_cell_angle_gamma 88.34
_symmetry_space_group_name_H-M 'P 1'
_symmetry_Int_Tables_number 1
_symmetry_space_group_name_Hall 'P 1'
loop_
_atom_site_label
_atom_site_fract_x
_atom_site_fract_y
_atom_site_fract_z
Ca1 0.000 0.000 0.000
Ca2 0.001 0.501 0.496
Ca3 0.136 0.820 0.318
Ca4 0.138 0.317 0.815
Ca5 0.362 0.181 0.452
Ca6 0.363 0.683 0.954
Ca7 0.499 0.000 0.770
Ca8 0.501 0.500 0.273
Ca9 0.636 0.820 0.451
Ca10 0.638 0.317 0.955
Ca11 0.862 0.182 0.317
Ca12 0.863 0.683 0.816
Co1 0.004 0.502 0.131
Co2 0.500 0.000 0.128
Co3 0.503 0.502 0.638
Co4 0.998 0.999 0.642
Rh1 0.249 0.250 0.135
Rh2 0.250 0.750 0.634
Rh3 0.750 0.250 0.634
Rh4 0.750 0.750 0.136
O1 0.045 0.724 0.069
O2 0.046 0.227 0.568
O3 0.158 0.377 0.303
O4 0.162 0.875 0.807
O5 0.201 0.059 0.239
O6 0.206 0.557 0.736
O7 0.294 0.442 0.032
O8 0.298 0.942 0.531
O9 0.338 0.626 0.464
O10 0.341 0.123 0.964
O11 0.453 0.775 0.201
O12 0.455 0.273 0.701
O13 0.546 0.227 0.202
O14 0.546 0.724 0.701
O15 0.658 0.377 0.466
O16 0.661 0.875 0.963
O17 0.700 0.060 0.529
O18 0.706 0.557 0.033
O19 0.794 0.442 0.738
O20 0.798 0.942 0.238
O21 0.838 0.626 0.306
O22 0.841 0.122 0.804
O23 0.952 0.776 0.569
O24 0.955 0.273 0.068
```

Most intense lines, 5 to 70 degrees two-theta, low angle first:
- (1 1 1), 19.19 deg, rel. 97
- (0 2 0), 19.62 deg, rel. 26
- (-2 1 1), 31.15 deg, rel. 18
- (2 2 0), 33.56 deg, rel. 100
- (2 -2 2), 39.79 deg, rel. 26
- (3 -1 1), 44.45 deg, rel. 21
- (1 -3 3), 44.64 deg, rel. 41
- (1 -2 4), 46.52 deg, rel. 21
- (3 3 3), 60.01 deg, rel. 16
- (1 5 3), 60.75 deg, rel. 20


Entry 2:
Diffraction record for Ca2CoRhO6. The powder diffractogram is simulated, not measured: it uses DFT lattice parameters and positions (PBE+U) and Cu Kα (weighted mean of Kα1 and Kα2).
Lines closer than 0.1° are merged.

Atomic structure:
```
data_Ca2CoRhO6
_cell_length_a 9.035
_cell_length_b 9.293
_cell_length_c 6.308
_cell_angle_alpha 90.00
_cell_angle_beta 95.31
_cell_angle_gamma 90.00
_symmetry_space_group_name_H-M 'C 1 2 1'
_symmetry_Int_Tables_number 5
_symmetry_space_group_name_Hall 'C 2y'
loop_
_atom_site_label
_atom_site_fract_x
_atom_site_fract_y
_atom_site_fract_z
Ca1 0.000 0.000 0.000
Ca2 0.000 0.237 0.500
Ca3 0.179 0.562 0.630
Co1 0.000 0.377 0.000
Co2 0.000 0.871 0.500
Rh1 0.248 0.372 0.238
O1 0.047 0.462 0.286
O2 0.055 0.774 0.752
O3 0.106 0.027 0.657
O4 0.115 0.202 0.174
O5 0.218 0.821 0.459
O6 0.230 0.431 0.950
```

Most intense lines, 5 to 70 degrees two-theta, low angle first:
- (0 2 0), 19.06 deg, rel. 100
- (1 1 1), 20.36 deg, rel. 12
- (2 0 -2), 33.25 deg, rel. 17
- (1 3 -1), 33.36 deg, rel. 28
- (4 0 0), 40.09 deg, rel. 9
- (2 2 2), 41.40 deg, rel. 13
- (4 2 0), 44.77 deg, rel. 13
- (3 3 1), 45.40 deg, rel. 12
- (1 1 3), 46.47 deg, rel. 9
- (1 5 -1), 52.02 deg, rel. 8


Entry 3:
Diffraction record for Ca3CoRhO6. The powder diffractogram is simulated, not measured: it uses DFT lattice parameters and positions (PBE+U) and Cu Kα (weighted mean of Kα1 and Kα2).
Lines closer than 0.1° are merged.

Atomic structure:
```
data_Ca3CoRhO6
_cell_length_a 6.495
_cell_length_b 8.968
_cell_length_c 9.256
_cell_angle_alpha 90.25
_cell_angle_beta 90.14
_cell_angle_gamma 92.58
_symmetry_space_group_name_H-M 'P 1'
_symmetry_Int_Tables_number 1
_symmetry_space_group_name_Hall 'P 1'
loop_
_atom_site_label
_atom_site_fract_x
_atom_site_fract_y
_atom_site_fract_z
Ca1 0.000 0.000 0.000
Ca2 0.000 0.499 0.500
Ca3 0.225 0.637 0.133
Ca4 0.226 0.135 0.633
Ca5 0.362 0.818 0.452
Ca6 0.364 0.318 0.949
Ca7 0.499 0.500 0.633
Ca8 0.500 0.000 0.134
Ca9 0.725 0.138 0.499
Ca10 0.726 0.636 0.999
Ca11 0.862 0.319 0.183
Ca12 0.864 0.819 0.682
Co1 0.361 0.320 0.309
Co2 0.366 0.817 0.818
Co3 0.864 0.817 0.324
Co4 0.865 0.317 0.822
Rh1 0.112 0.567 0.815
Rh2 0.113 0.069 0.316
Rh3 0.611 0.070 0.816
Rh4 0.612 0.568 0.316
O1 0.020 0.440 0.986
O2 0.021 0.938 0.485
O3 0.060 0.259 0.421
O4 0.066 0.762 0.918
O5 0.161 0.376 0.711
O6 0.164 0.878 0.211
O7 0.203 0.694 0.645
O8 0.204 0.199 0.147
O9 0.314 0.539 0.381
O10 0.315 0.045 0.883
O11 0.409 0.095 0.381
O12 0.409 0.593 0.882
O13 0.520 0.943 0.645
O14 0.525 0.442 0.144
O15 0.564 0.759 0.211
O16 0.567 0.262 0.712
O17 0.657 0.876 0.919
O18 0.660 0.377 0.420
O19 0.700 0.695 0.488
O20 0.702 0.195 0.988
O21 0.816 0.042 0.251
O22 0.816 0.542 0.750
O23 0.909 0.096 0.750
O24 0.910 0.597 0.250
```

Most intense lines, 5 to 70 degrees two-theta, low angle first:
- (1 -1 1), 19.13 deg, rel. 100
- (1 1 1), 19.74 deg, rel. 18
- (2 -2 0), 33.36 deg, rel. 35
- (-1 1 3), 33.49 deg, rel. 68
- (2 2 -2), 40.01 deg, rel. 14
- (2 2 2), 40.22 deg, rel. 26
- (2 -1 3), 41.33 deg, rel. 12
- (3 1 -1), 44.63 deg, rel. 21
- (0 4 2), 45.04 deg, rel. 20
- (-3 3 3), 59.71 deg, rel. 11


Entry 4:
Diffraction record for Ca3CoRhO6. The powder diffractogram is simulated, not measured: it uses DFT lattice parameters and positions (PBE+U) and Cu Kα (weighted mean of Kα1 and Kα2).
Lines closer than 0.1° are merged.

Atomic structure:
```
data_Ca3CoRhO6
_cell_length_a 6.509
_cell_length_b 8.952
_cell_length_c 9.263
_cell_angle_alpha 90.24
_cell_angle_beta 90.21
_cell_angle_gamma 92.49
_symmetry_space_group_name_H-M 'P 1'
_symmetry_Int_Tables_number 1
_symmetry_space_group_name_Hall 'P 1'
loop_
_atom_site_label
_atom_site_fract_x
_atom_site_fract_y
_atom_site_fract_z
Ca1 0.000 0.000 0.000
Ca2 0.000 0.499 0.500
Ca3 0.137 0.180 0.318
Ca4 0.138 0.681 0.818
Ca5 0.362 0.818 0.451
Ca6 0.363 0.319 0.951
Ca7 0.500 0.499 0.269
Ca8 0.500 0.999 0.768
Ca9 0.637 0.180 0.451
Ca10 0.637 0.680 0.951
Ca11 0.862 0.818 0.317
Ca12 0.863 0.319 0.817
Co1 0.000 0.999 0.641
Co2 0.002 0.497 0.140
Co3 0.499 0.001 0.127
Co4 0.499 0.500 0.627
Rh1 0.249 0.749 0.134
Rh2 0.250 0.249 0.634
Rh3 0.750 0.249 0.135
Rh4 0.750 0.749 0.634
O1 0.047 0.776 0.568
O2 0.048 0.278 0.068
O3 0.156 0.619 0.303
O4 0.158 0.121 0.804
O5 0.198 0.940 0.239
O6 0.200 0.441 0.739
O7 0.299 0.058 0.530
O8 0.301 0.558 0.029
O9 0.341 0.377 0.464
O10 0.343 0.880 0.965
O11 0.452 0.221 0.200
O12 0.453 0.723 0.701
O13 0.546 0.276 0.701
O14 0.546 0.775 0.201
O15 0.658 0.622 0.464
O16 0.661 0.123 0.963
O17 0.701 0.940 0.530
O18 0.703 0.441 0.030
O19 0.797 0.058 0.239
O20 0.798 0.558 0.739
O21 0.838 0.375 0.307
O22 0.841 0.877 0.805
O23 0.953 0.223 0.568
O24 0.954 0.724 0.068
```

Most intense lines, 5 to 70 degrees two-theta, low angle first:
- (1 -1 1), 19.12 deg, rel. 100
- (1 1 1), 19.71 deg, rel. 18
- (0 3 -1), 31.52 deg, rel. 14
- (2 -2 0), 33.36 deg, rel. 35
- (1 -1 3), 33.48 deg, rel. 68
- (2 2 -2), 39.94 deg, rel. 14
- (2 2 2), 40.14 deg, rel. 13
- (0 4 0), 40.34 deg, rel. 12
- (3 1 -1), 44.52 deg, rel. 21
- (0 4 2), 45.08 deg, rel. 20


Entry 5:
Diffraction record for Ca3CoRhO6. The powder diffractogram is simulated, not measured: it uses DFT lattice parameters and positions (PBE+U) and Cu Kα (weighted mean of Kα1 and Kα2).
Lines closer than 0.1° are merged.

Atomic structure:
```
data_Ca3CoRhO6
_cell_length_a 9.1954
_cell_length_b 9.1954
_cell_length_c 10.9744
_cell_angle_alpha 90.00
_cell_angle_beta 90.00
_cell_angle_gamma 120.00
_symmetry_space_group_name_H-M 'R -3 c'
_symmetry_Int_Tables_number 167
_symmetry_space_group_name_Hall '-R 3 2"c'
loop_
_atom_site_label
_atom_site_fract_x
_atom_site_fract_y
_atom_site_fract_z
Ca1 0.0000 0.3674 0.2500
Co1 0.0000 0.0000 0.2500
Rh1 0.0000 0.0000 0.0000
O1 0.0220 0.1786 0.3788
```

Most intense lines, 5 to 70 degrees two-theta, low angle first:
- (1 1 0), 19.31 deg, rel. 100
- (0 1 2), 19.65 deg, rel. 22
- (1 1 3), 31.25 deg, rel. 28
- (3 0 0), 33.77 deg, rel. 95
- (0 2 4), 39.90 deg, rel. 41
- (2 1 4), 44.69 deg, rel. 59
- (2 2 3), 46.67 deg, rel. 27
- (4 1 0), 52.67 deg, rel. 16
- (1 3 4), 53.24 deg, rel. 21
- (3 2 4), 60.92 deg, rel. 31


Entry 6:
Diffraction record for Ca3CoRhO6. The powder diffractogram is simulated, not measured: it uses DFT lattice parameters and positions (PBE+U) and Cu Kα (weighted mean of Kα1 and Kα2).
Lines closer than 0.1° are merged.

Atomic structure:
```
data_Ca3CoRhO6
_cell_length_a 6.466
_cell_length_b 9.052
_cell_length_c 9.257
_cell_angle_alpha 89.92
_cell_angle_beta 89.99
_cell_angle_gamma 88.33
_symmetry_space_group_name_H-M 'P 1'
_symmetry_Int_Tables_number 1
_symmetry_space_group_name_Hall 'P 1'
loop_
_atom_site_label
_atom_site_fract_x
_atom_site_fract_y
_atom_site_fract_z
Ca1 0.000 0.000 0.000
Ca2 0.001 0.495 0.502
Ca3 0.137 0.315 0.183
Ca4 0.138 0.814 0.682
Ca5 0.273 0.632 0.001
Ca6 0.274 0.132 0.502
Ca7 0.499 0.998 0.140
Ca8 0.502 0.497 0.637
Ca9 0.636 0.815 0.459
Ca10 0.638 0.315 0.956
Ca11 0.773 0.133 0.638
Ca12 0.773 0.632 0.140
Co1 0.133 0.813 0.316
Co2 0.143 0.318 0.818
Co3 0.639 0.316 0.315
Co4 0.639 0.816 0.825
Rh1 0.385 0.064 0.820
Rh2 0.387 0.564 0.321
Rh3 0.886 0.564 0.821
Rh4 0.887 0.065 0.321
O1 0.089 0.081 0.753
O2 0.091 0.590 0.255
O3 0.182 0.043 0.253
O4 0.184 0.544 0.755
O5 0.293 0.193 0.989
O6 0.299 0.688 0.491
O7 0.340 0.373 0.424
O8 0.345 0.871 0.923
O9 0.429 0.258 0.717
O10 0.430 0.758 0.220
O11 0.473 0.441 0.148
O12 0.478 0.938 0.651
O13 0.590 0.087 0.388
O14 0.591 0.586 0.887
O15 0.680 0.044 0.887
O16 0.684 0.539 0.387
O17 0.794 0.192 0.151
O18 0.797 0.688 0.651
O19 0.843 0.873 0.217
O20 0.847 0.369 0.720
O21 0.926 0.760 0.922
O22 0.935 0.255 0.426
O23 0.973 0.443 0.994
O24 0.979 0.937 0.488
```

Most intense lines, 5 to 70 degrees two-theta, low angle first:
- (0 0 2), 19.20 deg, rel. 97
- (0 2 0), 19.62 deg, rel. 26
- (-1 2 2), 31.19 deg, rel. 27
- (1 1 3), 33.57 deg, rel. 100
- (0 4 0), 39.84 deg, rel. 39
- (1 -3 3), 44.58 deg, rel. 61
- (1 4 2), 46.47 deg, rel. 26
- (3 -1 3), 53.07 deg, rel. 18
- (1 5 3), 60.63 deg, rel. 15
- (1 5 -3), 60.72 deg, rel. 15